This entry pairs a crystal structure of CoPH16NO10 with its calculated X-ray diffraction stick pattern. Radiation: copper Kα. Structure: the PBE+U geometry in Alexandria.
Neutral-atom scattering factors, no anomalous dispersion.

```
58
Lattice="7.010 0.000 0.000 0.000 6.099 0.000 0.000 0.000 11.324" Properties=species:S:1:pos:R:3 pbc="T T T"
Co 0.000 0.861 0.000
Co 3.505 5.238 5.662
P 0.000 2.982 7.120
P 3.505 3.116 1.458
H 0.000 0.778 3.094
H 0.000 1.543 4.652
H 0.000 4.225 10.936
H 0.000 4.805 9.426
H 0.821 3.208 1.338
H 0.837 0.056 4.337
H 1.249 3.970 4.869
H 1.278 5.274 7.309
H 1.427 1.849 9.154
H 1.721 5.408 1.524
H 1.784 0.691 7.186
H 2.078 4.250 3.492
H 2.227 0.825 1.647
H 2.255 2.129 10.531
H 2.668 6.043 9.999
H 2.684 2.891 7.000
H 3.505 1.294 3.764
H 3.505 1.874 5.274
H 3.505 4.556 10.314
H 3.505 5.321 8.756
H 4.326 2.891 7.000
H 4.342 6.043 9.999
H 4.754 2.129 10.531
H 4.783 0.825 1.647
H 4.932 4.250 3.492
H 5.226 0.691 7.186
H 5.289 5.408 1.524
H 5.582 1.849 9.154
H 5.732 5.274 7.309
H 5.760 3.970 4.869
H 6.173 0.056 4.337
H 6.189 3.208 1.338
N 0.000 0.636 4.117
N 3.505 5.463 9.779
O 0.000 2.906 0.831
O 0.000 3.075 5.563
O 0.000 4.415 7.740
O 0.000 5.059 10.395
O 1.284 2.239 7.597
O 1.414 0.258 1.440
O 1.594 1.505 10.093
O 1.911 4.594 4.431
O 2.091 5.841 7.102
O 2.221 3.860 1.935
O 3.505 1.040 4.733
O 3.505 1.684 2.078
O 3.505 3.024 11.225
O 3.505 3.193 6.493
O 4.789 3.860 1.935
O 4.919 5.841 7.102
O 5.099 4.594 4.431
O 5.415 1.505 10.093
O 5.596 0.258 1.440
O 5.726 2.239 7.597
```

Largest 8 diffraction maxima, low angle first, 2θ = 10–90°:
Position (°2θ)  I/Imax
14.86  44
15.65  60
16.51  45
20.84  100
26.83  45
29.99  25
30.46  26
33.43  51

This entry pairs a crystal structure of CoPH6NO5 with its calculated X-ray diffraction stick pattern. Radiation: copper Kα. Structure: the PBE+U geometry in Alexandria.
Neutral-atom scattering factors, no anomalous dispersion.

```
28
Lattice="5.661 0.000 0.000 0.000 8.951 0.000 0.000 0.000 4.812" Properties=species:S:1:pos:R:3 pbc="T T T"
Co 0.000 0.226 0.000
Co 2.830 8.725 2.406
P 0.000 7.239 2.069
P 2.830 1.712 4.475
H 0.000 4.882 3.356
H 0.000 4.918 0.277
H 0.785 1.642 2.070
H 0.853 3.709 4.252
H 1.977 5.242 1.846
H 2.045 7.309 4.476
H 2.830 4.033 2.683
H 2.830 4.069 0.951
H 3.615 7.309 4.476
H 3.684 5.242 1.846
H 4.807 3.709 4.252
H 4.876 1.642 2.070
N 0.000 4.297 4.236
N 2.830 4.654 1.830
O 0.000 1.771 1.482
O 0.000 5.700 1.826
O 0.000 7.511 3.572
O 1.243 7.893 1.349
O 1.588 1.058 3.755
O 2.830 1.440 1.166
O 2.830 3.251 4.232
O 2.830 7.180 3.888
O 4.073 1.058 3.755
O 4.418 7.893 1.349
```

Largest 8 diffraction maxima, low angle first, 2θ = 10–90°:
Position (°2θ)  I/Imax
18.55  14
20.96  23
26.27  21
31.56  100
38.92  18
42.19  10
50.84  10
56.26  11

This entry pairs a crystal structure of CoPH6NO5 with its calculated X-ray diffraction stick pattern. Radiation: copper Kα. Structure: the PBE+U geometry in Alexandria.
Neutral-atom scattering factors, no anomalous dispersion.

```
56
Lattice="17.893 0.000 0.000 0.000 5.660 0.000 0.000 0.000 4.815" Properties=species:S:1:pos:R:3 pbc="T T T"
Co 4.249 1.415 0.625
Co 4.698 4.245 3.032
Co 13.195 1.415 1.782
Co 13.644 4.245 4.190
P 2.761 4.245 0.962
P 6.185 1.415 3.369
P 11.707 4.245 1.445
P 15.131 1.415 3.853
H 0.401 4.245 4.488
H 0.445 4.245 2.756
H 0.767 0.561 1.215
H 0.767 2.268 1.215
H 2.832 0.630 3.371
H 2.832 2.200 3.371
H 6.115 3.460 0.964
H 6.115 5.030 0.964
H 8.179 3.391 3.623
H 8.179 5.098 3.623
H 8.501 1.415 0.348
H 8.545 1.415 2.081
H 9.348 4.245 2.734
H 9.392 4.245 4.466
H 9.713 0.561 1.192
H 9.713 2.268 1.192
H 11.778 0.630 3.851
H 11.778 2.200 3.851
H 15.061 3.460 1.443
H 15.061 5.030 1.443
H 17.125 3.391 3.599
H 17.125 5.098 3.599
H 17.447 1.415 2.059
H 17.491 1.415 0.326
N 0.179 1.415 1.208
N 8.767 4.245 3.616
N 9.125 1.415 1.199
N 17.713 4.245 3.606
O 1.222 4.245 1.206
O 2.702 1.415 3.959
O 3.033 4.245 4.273
O 3.415 3.002 1.682
O 3.415 5.487 1.682
O 5.531 0.173 4.090
O 5.531 2.657 4.090
O 5.914 1.415 1.866
O 6.244 4.245 1.552
O 7.724 1.415 3.613
O 10.168 4.245 1.202
O 11.649 1.415 3.263
O 11.979 4.245 2.949
O 12.362 3.002 0.725
O 12.362 5.487 0.725
O 14.477 0.173 3.132
O 14.477 2.657 3.132
O 14.860 1.415 0.541
O 15.190 4.245 0.855
O 16.671 1.415 3.609
```

Largest 8 diffraction maxima, low angle first, 2θ = 10–90°:
Position (°2θ)  I/Imax
18.55  17
20.95  22
24.78  16
28.57  19
31.57  100
35.04  16
50.00  13
52.19  15